Record 1
For Na2LiDyCl6, a PBE-relaxed structure gives the computed XRD peak list in this record (CuKα).
Neutral-atom scattering factors, no anomalous dispersion.

Largest 10 diffraction maxima, in order of falling intensity, 2θ from 10° to 90°:
| 2theta | intensity |
| --- | --- |
| 14.94 | 100 |
| 17.26 | 94 |
| 34.94 | 80 |
| 28.83 | 71 |
| 50.24 | 52 |
| 39.22 | 44 |
| 24.51 | 42 |
| 38.19 | 37 |
| 45.90 | 25 |
| 52.72 | 24 |

Structure:
```
Na2LiDyCl6
1.0
0.0000 5.1363 5.1363
5.1363 0.0000 5.1363
5.1363 5.1363 0.0000
Na Li Dy Cl
2 1 1 6
direct
0.2500 0.2500 0.2500
0.7500 0.7500 0.7500
0.0000 0.0000 0.0000
0.5000 0.5000 0.5000
0.2456 0.2456 0.7544
0.2456 0.7544 0.2456
0.2456 0.7544 0.7544
0.7544 0.2456 0.2456
0.7544 0.2456 0.7544
0.7544 0.7544 0.2456
```

***

Record 2
For NaSbCl6, a PBE-relaxed structure gives the computed XRD peak list in this record (CuKα).
Neutral-atom scattering factors, no anomalous dispersion.

Largest 10 diffraction maxima, in order of falling intensity, 2θ from 10° to 90°:
| 2theta | intensity |
| --- | --- |
| 15.66 | 100 |
| 31.08 | 25 |
| 25.04 | 24 |
| 39.21 | 22 |
| 31.33 | 20 |
| 18.98 | 17 |
| 46.49 | 16 |
| 16.19 | 13 |
| 48.23 | 12 |
| 38.51 | 12 |

Structure:
```
NaSbCl6
1.0
6.6126 0.0000 0.0000
0.0000 6.6126 0.0000
0.0000 0.0000 10.9496
Na Sb Cl
2 2 12
direct
0.0000 0.0000 0.2500
0.0000 0.0000 0.7500
0.0000 0.5000 0.0000
0.5000 0.0000 0.5000
0.2009 0.2096 0.5000
0.2096 0.7991 0.0000
0.2115 0.3509 0.1558
0.2115 0.3509 0.8442
0.3509 0.7885 0.3442
0.3509 0.7885 0.6558
0.6491 0.2115 0.3442
0.6491 0.2115 0.6558
0.7885 0.6491 0.1558
0.7885 0.6491 0.8442
0.7904 0.2009 0.0000
0.7991 0.7904 0.5000
```

***

Record 3
For ErSi2Os2, a PBE-relaxed structure gives the computed XRD peak list in this record (CuKα).
Neutral-atom scattering factors, no anomalous dispersion.

Largest 10 diffraction maxima, in order of falling intensity, 2θ from 10° to 90°:
| 2theta | intensity |
| --- | --- |
| 35.69 | 100 |
| 43.27 | 36 |
| 74.43 | 24 |
| 58.64 | 20 |
| 18.54 | 19 |
| 37.60 | 18 |
| 66.62 | 17 |
| 23.21 | 16 |
| 35.39 | 15 |
| 62.85 | 12 |

Structure:
```
ErSi2Os2
1.0
4.1821 0.0000 0.0000
0.0000 4.1821 0.0000
0.0000 0.0000 9.5693
Er Si Os
2 4 4
direct
0.0000 0.0000 0.0000
0.5000 0.5000 0.5000
0.0000 0.0000 0.3722
0.0000 0.0000 0.6278
0.5000 0.5000 0.1278
0.5000 0.5000 0.8722
0.0000 0.5000 0.2500
0.0000 0.5000 0.7500
0.5000 0.0000 0.2500
0.5000 0.0000 0.7500
```